Starting from a DFT-relaxed cell (PBE+U, the Materials Project), the powder X-ray diffraction pattern of VNiO3 was computed for Cu Kα.

Structure:
a b c (Å): 5.041 5.051 5.437
angles (deg): 90.42 116.83 119.58
Space group P1 (No. 1)
One atom of each set of equivalent atoms:
V1 0.000 0.000 0.000
V2 0.415 0.700 0.111
Ni1 0.007 0.501 0.508
Ni2 0.417 0.203 0.624
O1 0.212 0.900 0.819
O2 0.221 0.791 0.291
O3 0.505 0.431 0.297
O4 0.505 0.600 0.817
O5 0.864 0.066 0.296
O6 0.911 0.301 0.821

Top 10 peaks for 2θ = 5–70°, by angle:
23.82 deg, I 18, (1 0 0)
24.02 deg, I 17, (0 1 -1)
24.22 deg, I 21, (-1 1 1)
32.77 deg, I 100, (1 -1 1)
33.17 deg, I 48, (1 0 -2)
35.35 deg, I 40, (1 1 -1)
35.59 deg, I 76, (1 -2 0)
40.75 deg, I 19, (1 1 -2)
48.75 deg, I 20, (2 0 0)
49.20 deg, I 19, (0 2 -2)